Computed powder diffractogram
Compound: SiSbPt
Radiation: λ = 1.5418 Å (Cu Kα)
Structure: the GGA-PBE geometry in OQMD
Intensities are scaled so that the largest is 100.

The 10 most intense peaks (2θ = 10–90°), by angle:
hkl  Position (°2θ)  intensity
1 1 1  21.07  63
1 1 2  24.96  100
2 0 0  27.90  81
0 2 1  28.90  45
0 0 4  30.86  63
2 1 1  32.24  66
0 2 3  36.42  45
1 1 5  43.88  76
2 2 3  46.50  49
1 3 2  47.53  37

Atomic structure:
a b c (Å): 6.3920 6.4112 11.5896
angles (deg): 90.00 90.00 90.00
Space group Pbca (No. 61)
One atom of each set of equivalent atoms:
Si1 0.1454 0.2355 0.0738 [8 per cell]
Sb1 0.1169 0.5050 0.8273 [8 per cell]
Pt1 0.0118 0.6175 0.6067 [8 per cell]

---

Computed powder diffractogram
Compound: NaCuPdS3
Radiation: λ = 1.5418 Å (Cu Kα)
Structure: the GGA-PBE geometry in OQMD
Intensities are scaled so that the largest is 100.

The 10 most intense peaks (2θ = 10–90°), by angle:
hkl  Position (°2θ)  intensity
0 2 0  14.39  100
1 1 2  31.54  25
1 3 0  32.86  18
1 3 1  34.17  27
0 0 4  37.04  27
1 3 2  37.86  46
0 2 4  39.93  15
1 5 2  48.39  18
2 0 0  50.03  13
0 8 2  63.38  13

Atomic structure:
a b c (Å): 3.6464 12.3091 9.7089
angles (deg): 90.00 90.00 90.00
Space group Cmcm (No. 63)
One atom of each set of equivalent atoms:
Na1 0.0000 0.2448 0.2500 [4 per cell]
Cu1 0.0000 0.0489 0.7500 [4 per cell]
Pd1 0.0000 0.5000 0.0000 [4 per cell]
S1 0.0000 0.1295 0.5395 [8 per cell]
S2 0.0000 0.4358 0.7500 [4 per cell]

---

Computed powder diffractogram
Compound: Li2MgIn2HgPt2
Radiation: λ = 1.5418 Å (Cu Kα)
Structure: the GGA-PBE geometry in OQMD
Intensities are scaled so that the largest is 100.

The 10 most intense peaks (2θ = 10–90°), by angle:
hkl  Position (°2θ)  intensity
1 0 0  19.23  12
1 0 1  23.53  69
1 1 1  30.56  12
1 1 2  38.84  100
2 0 0  39.03  50
1 0 3  45.74  11
2 1 1  46.08  24
2 2 0  56.38  17
2 0 4  70.19  17
3 1 2  70.57  35

Atomic structure:
a b c (Å): 4.6160 4.6160 6.5899
angles (deg): 90.00 90.00 90.00
Space group P-4m2 (No. 115)
One atom of each set of equivalent atoms:
Li1 0.0000 0.5000 0.2455 [2 per cell]
Mg1 0.0000 0.0000 0.5000 [1 per cell]
In1 0.0000 0.0000 0.0000 [1 per cell]
In2 0.5000 0.5000 0.5000 [1 per cell]
Hg1 0.5000 0.5000 0.0000 [1 per cell]
Pt1 0.0000 0.5000 0.7343 [2 per cell]

---

Computed powder diffractogram
Compound: Sr2Co3CuSi2
Radiation: λ = 1.5418 Å (Cu Kα)
Structure: the GGA-PBE geometry in OQMD
Intensities are scaled so that the largest is 100.

The 10 most intense peaks (2θ = 10–90°), by angle:
hkl  Position (°2θ)  intensity
0 0 2  16.68  24
1 0 0  25.37  42
0 1 1  26.74  36
0 0 4  33.73  45
0 1 3  36.01  100
1 1 0  44.71  85
1 1 4  57.16  56
2 0 3  58.70  23
0 1 7  67.17  26
1 2 3  76.70  21

Atomic structure:
a b c (Å): 4.0535 4.0535 10.6296
angles (deg): 90.00 90.00 120.00
Space group P3m1 (No. 156)
One atom of each set of equivalent atoms:
Sr1 0.0000 0.0000 0.0000 [1 per cell]
Sr2 0.3333 0.6667 0.4985 [1 per cell]
Co1 0.0000 0.0000 0.7203 [1 per cell]
Co2 0.3333 0.6667 0.2160 [1 per cell]
Co3 0.3333 0.6667 0.7704 [1 per cell]
Cu1 0.0000 0.0000 0.2880 [1 per cell]
Si1 0.6667 0.3333 0.2329 [1 per cell]
Si2 0.6667 0.3333 0.7454 [1 per cell]

---

Computed powder diffractogram
Compound: SmDyGa2Au2
Radiation: λ = 1.5418 Å (Cu Kα)
Structure: the GGA-PBE geometry in OQMD
Intensities are scaled so that the largest is 100.

The 10 most intense peaks (2θ = 10–90°), by angle:
hkl  Position (°2θ)  intensity
1 0 0  22.61  17
1 0 2  33.67  100
1 1 0  39.70  61
0 0 4  50.46  9
2 0 2  53.01  28
1 1 4  66.05  24
2 1 2  68.23  26
3 0 0  72.06  11
1 0 6  83.95  7
2 2 0  85.56  7

Atomic structure:
a b c (Å): 4.5402 4.5402 7.2341
angles (deg): 90.00 90.00 120.00
Space group P-6m2 (No. 187)
One atom of each set of equivalent atoms:
Sm1 0.0000 0.0000 0.0000 [1 per cell]
Dy1 0.0000 0.0000 0.5000 [1 per cell]
Ga1 0.6667 0.3333 0.2825 [2 per cell]
Au1 0.3333 0.6667 0.2416 [2 per cell]

---

Computed powder diffractogram
Compound: DyMgAgAu
Radiation: λ = 1.5418 Å (Cu Kα)
Structure: the GGA-PBE geometry in OQMD
Intensities are scaled so that the largest is 100.

The 10 most intense peaks (2θ = 10–90°), by angle:
hkl  Position (°2θ)  intensity
1 0 1  22.18  24
2 0 0  36.62  100
2 1 1  43.18  9
2 2 0  52.66  12
0 0 4  52.93  6
3 1 2  65.87  24
2 0 4  66.05  12
2 2 4  77.92  7
4 2 0  89.10  11
1 1 6  89.55  5

Atomic structure:
a b c (Å): 4.9152 4.9162 6.9192
angles (deg): 90.00 90.00 90.00
Space group Pmn2_1 (No. 31)
One atom of each set of equivalent atoms:
Dy1 0.0000 0.2456 0.0000 [2 per cell]
Mg1 0.0000 0.2465 0.5000 [2 per cell]
Ag1 0.0000 0.7448 0.7500 [2 per cell]
Au1 0.0000 0.7449 0.2500 [2 per cell]

---

Computed powder diffractogram
Compound: PrDyPd4Pb2
Radiation: λ = 1.5418 Å (Cu Kα)
Structure: the GGA-PBE geometry in OQMD
Intensities are scaled so that the largest is 100.

The 10 most intense peaks (2θ = 10–90°), by angle:
hkl  Position (°2θ)  intensity
1 0 2  29.52  64
1 0 3  37.15  67
1 1 0  38.16  100
1 0 4  46.00  13
2 0 2  48.97  16
2 0 3  54.32  22
2 1 2  63.72  15
1 0 6  66.30  17
2 1 3  68.31  22
3 0 0  68.97  18

Atomic structure:
a b c (Å): 4.7166 4.7166 9.0124
angles (deg): 90.00 90.00 120.00
Space group P-6m2 (No. 187)
One atom of each set of equivalent atoms:
Pr1 0.0000 0.0000 0.0000 [1 per cell]
Dy1 0.6667 0.3333 0.5000 [1 per cell]
Pd1 0.0000 0.0000 0.3433 [2 per cell]
Pd2 0.6667 0.3333 0.1667 [2 per cell]
Pb1 0.3333 0.6667 0.2602 [2 per cell]